# U4As6Pd5
Theoretical powder diffraction line list, Cu Kα. Input: a DFT-relaxed cell (PBE, Alexandria).
Lines closer than 0.1° are merged.

Cell and atoms:
```
U4As6Pd5
1.0
2.041 -9.775 0.000
2.041 9.775 0.000
0.000 0.000 14.824
U As Pd
8 12 10
Direct
0.013 0.987 0.500
0.034 0.966 0.777
0.166 0.834 0.304
0.182 0.818 0.946
0.818 0.182 0.446
0.834 0.166 0.804
0.966 0.034 0.277
0.987 0.013 0.000
0.115 0.885 0.116
0.223 0.777 0.488
0.234 0.766 0.767
0.417 0.583 0.423
0.434 0.566 0.127
0.435 0.565 0.857
0.565 0.435 0.357
0.566 0.434 0.627
0.583 0.417 0.923
0.766 0.234 0.267
0.777 0.223 0.988
0.885 0.115 0.616
0.149 0.851 0.633
0.303 0.697 0.623
0.349 0.651 0.277
0.353 0.647 0.984
0.444 0.556 0.684
0.556 0.444 0.184
0.647 0.353 0.484
0.651 0.349 0.777
0.697 0.303 0.123
0.851 0.149 0.133
```

Principal peaks in the range 2θ = 10–80°, by angle:
2θ 28.7, I = 32
2θ 31.5, I = 20
2θ 31.7, I = 31
2θ 32.3, I = 37
2θ 33.0, I = 34
2θ 34.0, I = 27
2θ 35.5, I = 36
2θ 36.4, I = 27
2θ 36.7, I = 100
2θ 40.1, I = 21
2θ 44.4, I = 47
2θ 50.2, I = 21

***

# Tb2SmYEr2
Theoretical powder diffraction line list, Cu Kα. Input: a DFT-relaxed cell (PBE, Alexandria).
Lines closer than 0.1° are merged.

Cell and atoms:
```
Tb2SmYEr2
1.0
6.633 0.000 0.000
0.000 17.553 0.000
0.000 0.000 3.375
Tb Sm Y Er
4 2 2 4
Direct
0.235 0.151 0.000
0.265 0.651 0.500
0.735 0.349 0.500
0.765 0.849 0.000
0.000 0.000 0.500
0.500 0.500 0.000
0.000 0.500 0.500
0.500 0.000 0.000
0.237 0.320 0.500
0.263 0.820 0.000
0.737 0.180 0.000
0.763 0.680 0.500
```

Principal peaks in the range 2θ = 10–80°, by angle:
2θ 26.9, I = 27
2θ 28.8, I = 45
2θ 30.6, I = 100
2θ 31.4, I = 13
2θ 33.5, I = 17
2θ 33.9, I = 30
2θ 38.4, I = 21
2θ 41.2, I = 41
2θ 54.4, I = 17
2θ 62.7, I = 12
2θ 63.7, I = 12
2θ 64.6, I = 22

***

# U6Cr3Se14
Theoretical powder diffraction line list, Cu Kα. Input: a DFT-relaxed cell (PBE, Alexandria).
Lines closer than 0.1° are merged.

Cell and atoms:
```
U6Cr3Se14
1.0
10.197 0.000 0.000
-5.099 8.831 0.000
0.000 0.000 5.993
U Cr Se
6 3 14
Direct
0.038 0.482 0.000
0.294 0.189 0.505
0.444 0.962 0.000
0.518 0.556 0.000
0.811 0.105 0.505
0.895 0.706 0.505
0.000 0.000 0.118
0.333 0.667 0.611
0.667 0.333 0.738
0.000 0.000 0.714
0.098 0.257 0.248
0.159 0.902 0.248
0.178 0.767 0.748
0.233 0.411 0.748
0.333 0.667 0.209
0.419 0.232 0.975
0.517 0.087 0.499
0.570 0.483 0.499
0.589 0.822 0.748
0.743 0.841 0.248
0.768 0.187 0.975
0.813 0.581 0.975
0.913 0.430 0.499
```

Principal peaks in the range 2θ = 10–80°, by angle:
2θ 17.9, I = 56
2θ 22.9, I = 28
2θ 25.1, I = 100
2θ 30.7, I = 31
2θ 33.9, I = 73
2θ 35.2, I = 74
2θ 36.2, I = 76
2θ 36.7, I = 35
2θ 39.8, I = 58
2θ 40.5, I = 54
2θ 47.4, I = 29
2θ 49.7, I = 43

***

# TbGa7Cu12
Theoretical powder diffraction line list, Cu Kα. Input: a DFT-relaxed cell (PBE, Alexandria).
Lines closer than 0.1° are merged.

Cell and atoms:
```
TbGa7Cu12
1.0
6.301 3.638 2.132
-6.301 3.638 2.132
0.000 -7.276 2.132
Tb Ga Cu
1 7 12
Direct
0.000 0.000 0.000
0.189 0.189 0.535
0.189 0.535 0.189
0.465 0.811 0.811
0.500 0.500 0.500
0.535 0.189 0.189
0.811 0.465 0.811
0.811 0.811 0.465
0.000 0.271 0.729
0.000 0.729 0.271
0.058 0.397 0.397
0.271 0.000 0.729
0.271 0.729 0.000
0.397 0.058 0.397
0.397 0.397 0.058
0.603 0.603 0.942
0.603 0.942 0.603
0.729 0.000 0.271
0.729 0.271 0.000
0.942 0.603 0.603
```

Principal peaks in the range 2θ = 10–80°, by angle:
2θ 32.7, I = 29
2θ 35.5, I = 59
2θ 35.8, I = 40
2θ 37.8, I = 17
2θ 41.1, I = 40
2θ 42.4, I = 38
2θ 43.1, I = 100
2θ 43.6, I = 65
2θ 46.0, I = 21
2θ 50.6, I = 16
2θ 62.0, I = 28
2θ 66.7, I = 15

***

# BaTmBi
Theoretical powder diffraction line list, Cu Kα. Input: a DFT-relaxed cell (PBE, Alexandria).
Lines closer than 0.1° are merged.

Cell and atoms:
```
BaTmBi
1.0
2.858 -2.863 0.000
2.858 2.863 0.000
0.000 0.000 14.140
Ba Tm Bi
2 2 2
Direct
0.000 0.000 0.163
0.000 0.000 0.837
0.500 0.500 0.384
0.500 0.500 0.616
0.000 0.000 0.500
0.500 0.500 0.000
```

Principal peaks in the range 2θ = 10–80°, by angle:
2θ 12.5, I = 25
2θ 29.1, I = 100
2θ 31.3, I = 57
2θ 33.8, I = 10
2θ 38.9, I = 23
2θ 44.8, I = 21
2θ 50.2, I = 9
2θ 54.3, I = 36
2θ 60.8, I = 13
2θ 61.7, I = 7
2θ 73.0, I = 8
2θ 74.1, I = 10

***

# CuPt14W
Theoretical powder diffraction line list, Cu Kα. Input: a DFT-relaxed cell (PBE, Alexandria).
Lines closer than 0.1° are merged.

Cell and atoms:
```
CuPt14W
1.0
5.626 0.000 0.000
0.000 5.626 0.000
0.000 0.000 7.825
Cu Pt W
1 14 1
Direct
0.000 0.000 0.000
0.000 0.000 0.500
0.000 0.500 0.000
0.000 0.500 0.500
0.251 0.251 0.242
0.251 0.251 0.758
0.251 0.749 0.242
0.251 0.749 0.758
0.500 0.000 0.000
0.500 0.000 0.500
0.500 0.500 0.500
0.749 0.251 0.242
0.749 0.251 0.758
0.749 0.749 0.242
0.749 0.749 0.758
0.500 0.500 0.000
```

Principal peaks in the range 2θ = 10–80°, by angle:
2θ 15.8, I = 1
2θ 19.4, I = 1
2θ 25.1, I = 1
2θ 33.9, I = 1
2θ 34.4, I = 1
2θ 39.5, I = 100
2θ 45.6, I = 33
2θ 46.4, I = 16
2θ 58.3, I = 1
2θ 66.5, I = 11
2θ 67.1, I = 21
2θ 68.6, I = 1

***

# LiMnCo4
Theoretical powder diffraction line list, Cu Kα. Input: a DFT-relaxed cell (PBE, Alexandria).
Lines closer than 0.1° are merged.

Cell and atoms:
```
LiMnCo4
1.0
0.000 3.332 3.332
3.332 0.000 3.332
3.332 3.332 0.000
Li Mn Co
1 1 4
Direct
0.000 0.000 0.000
0.250 0.250 0.250
0.125 0.625 0.625
0.625 0.125 0.625
0.625 0.625 0.125
0.625 0.625 0.625
```

Principal peaks in the range 2θ = 10–80°, by angle:
2θ 23.1, I = 56
2θ 26.8, I = 10
2θ 38.2, I = 10
2θ 45.1, I = 100
2θ 47.2, I = 63
2θ 55.1, I = 16
2θ 60.6, I = 10
2θ 62.3, I = 3
2θ 69.0, I = 3
2θ 73.9, I = 27

***

# NdYSnTe
Theoretical powder diffraction line list, Cu Kα. Input: a DFT-relaxed cell (PBE, Alexandria).
Lines closer than 0.1° are merged.

Cell and atoms:
```
NdYSnTe
1.0
2.229 1.287 7.330
-2.229 1.287 7.330
0.000 -2.574 7.330
Nd Y Sn Te
1 1 1 1
Direct
0.000 0.000 0.000
0.493 0.493 0.493
0.749 0.749 0.749
0.243 0.243 0.243
```

Principal peaks in the range 2θ = 10–80°, by angle:
2θ 23.4, I = 2
2θ 28.2, I = 100
2θ 40.3, I = 38
2θ 40.5, I = 38
2θ 49.8, I = 7
2θ 50.1, I = 21
2θ 58.4, I = 13
2θ 66.0, I = 17
2θ 66.3, I = 18
2θ 73.1, I = 6
2θ 73.5, I = 13
2θ 73.6, I = 7

***

# Tl3AgBr6
Theoretical powder diffraction line list, Cu Kα. Input: a DFT-relaxed cell (PBE, Alexandria).
Lines closer than 0.1° are merged.

Cell and atoms:
```
Tl3AgBr6
1.0
7.526 0.000 0.000
0.000 7.997 0.000
-7.446 0.000 10.970
Tl Ag Br
6 2 12
Direct
0.000 0.000 0.000
0.000 0.500 0.500
0.278 0.083 0.750
0.278 0.417 0.250
0.722 0.583 0.750
0.722 0.917 0.250
0.500 0.000 0.500
0.500 0.500 0.000
0.161 0.010 0.251
0.161 0.490 0.751
0.237 0.697 0.042
0.237 0.803 0.542
0.349 0.195 0.043
0.349 0.305 0.543
0.651 0.695 0.457
0.651 0.805 0.957
0.763 0.197 0.458
0.763 0.303 0.958
0.839 0.510 0.249
0.839 0.990 0.749
```

Principal peaks in the range 2θ = 10–80°, by angle:
2θ 18.1, I = 23
2θ 22.2, I = 20
2θ 22.9, I = 49
2θ 23.0, I = 50
2θ 23.7, I = 40
2θ 27.4, I = 19
2θ 32.7, I = 100
2θ 33.7, I = 21
2θ 35.7, I = 21
2θ 36.7, I = 29
2θ 41.0, I = 26
2θ 41.3, I = 26

***

# Sr4Hg3Bi8
Theoretical powder diffraction line list, Cu Kα. Input: a DFT-relaxed cell (PBE, Alexandria).
Lines closer than 0.1° are merged.

Cell and atoms:
```
Sr4Hg3Bi8
1.0
4.858 0.000 0.000
0.000 4.858 0.000
0.000 0.000 20.537
Sr Hg Bi
4 3 8
Direct
0.000 0.500 0.113
0.000 0.500 0.621
0.500 0.000 0.379
0.500 0.000 0.887
0.000 0.000 0.000
0.000 0.000 0.500
0.500 0.500 0.500
0.000 0.000 0.247
0.000 0.000 0.753
0.000 0.500 0.392
0.000 0.500 0.909
0.500 0.000 0.091
0.500 0.000 0.608
0.500 0.500 0.247
0.500 0.500 0.753
```

Principal peaks in the range 2θ = 10–80°, by angle:
2θ 20.2, I = 11
2θ 25.2, I = 6
2θ 26.0, I = 7
2θ 27.4, I = 6
2θ 31.3, I = 100
2θ 35.0, I = 12
2θ 37.0, I = 41
2θ 44.0, I = 6
2θ 51.8, I = 21
2θ 53.3, I = 13
2θ 63.2, I = 28
2θ 65.4, I = 8

***

# Be2S
Theoretical powder diffraction line list, Cu Kα. Input: a DFT-relaxed cell (PBE, Alexandria).
Lines closer than 0.1° are merged.

Cell and atoms:
```
Be2S
1.0
2.950 -1.685 0.000
2.950 1.685 0.000
-1.859 0.000 8.980
Be S
4 2
Direct
0.104 0.104 0.303
0.184 0.184 0.557
0.816 0.816 0.443
0.896 0.896 0.697
0.255 0.255 0.782
0.745 0.745 0.218
```

Principal peaks in the range 2θ = 10–80°, by angle:
2θ 19.8, I = 100
2θ 29.8, I = 9
2θ 31.0, I = 39
2θ 31.3, I = 72
2θ 33.3, I = 52
2θ 40.2, I = 9
2θ 40.4, I = 9
2θ 41.0, I = 14
2θ 48.6, I = 17
2θ 54.0, I = 32
2θ 54.4, I = 17
2θ 64.0, I = 8

***

# RuPt
Theoretical powder diffraction line list, Cu Kα. Input: a DFT-relaxed cell (PBE, Alexandria).
Lines closer than 0.1° are merged.

Cell and atoms:
```
RuPt
1.0
1.373 0.793 9.083
-1.373 0.793 9.083
0.000 -1.585 9.083
Ru Pt
2 2
Direct
0.129 0.129 0.129
0.871 0.871 0.871
0.378 0.378 0.378
0.622 0.622 0.622
```

Principal peaks in the range 2θ = 10–80°, by angle:
2θ 29.5, I = 8
2θ 38.0, I = 6
2θ 39.7, I = 33
2θ 40.2, I = 100
2θ 41.4, I = 7
2θ 46.6, I = 64
2θ 58.7, I = 5
2θ 67.7, I = 20
2θ 68.3, I = 21
2θ 70.9, I = 4
2θ 72.9, I = 1
2θ 76.1, I = 4